Simulated powder diffraction line list of Sm3Bi2Rh for Cu Kα (weighted mean of Kα1 and Kα2), from DFT lattice parameters and positions (PBE).
Peak positions follow from Bragg's law for the DFT cell and can differ from measured ones.

Structural model:
Lattice parameters (Å, degrees): 7.645 13.155 7.694 90.00 109.14 90.00
Space group C2/m (No. 12)
Asymmetric unit:
Sm (0.214, 0.000, 0.217) [4 per cell]
Sm (0.244, 0.178, 0.769) [8 per cell]
Bi (0.000, 0.000, 0.500) [2 per cell]
Bi (0.000, 0.344, 0.500) [4 per cell]
Bi (0.000, 0.500, 0.000) [2 per cell]
Rh (0.000, 0.169, 0.000) [4 per cell]

Peak list (10 most intense, 2θ from 10° to 80°, sorted by position)
index  two_theta  d/Å  I (rel.)
2 0 -2  28.6  3.123  100
2 0 2  40.6  2.223  12
1 3 -3  40.8  2.214  25
3 3 -1  41.0  2.203  25
0 6 0  41.2  2.192  12
4 0 0  50.5  1.806  7
2 6 -2  50.9  1.795  13
4 0 -4  59.2  1.561  11
3 3 -5  66.9  1.399  10
5 3 -3  67.1  1.394  11

---

Simulated powder diffraction line list of LiGaSnF6 for Cu Kα (weighted mean of Kα1 and Kα2), from DFT lattice parameters and positions (PBE).
Peak positions follow from Bragg's law for the DFT cell and can differ from measured ones.

Structural model:
Lattice parameters (Å, degrees): 5.2575 5.2575 5.1736 90.00 90.00 120.00
Space group P312 (No. 149)
Asymmetric unit:
Li (0.0000, 0.0000, 0.0000) [1 per cell]
Ga (0.3333, 0.6667, 0.0000) [1 per cell]
Sn (0.6667, 0.3333, 0.5000) [1 per cell]
F (0.0423, 0.3522, 0.2099) [6 per cell]

Peak list (10 most intense, 2θ from 10° to 80°, sorted by position)
index  two_theta  d/Å  I (rel.)
1 0 0  19.5  4.553  29
1 0 1  26.1  3.418  100
1 1 0  34.1  2.629  17
1 1 1  38.4  2.344  14
1 0 2  40.1  2.249  12
2 0 1  43.4  2.084  23
2 -1 2  49.4  1.844  35
3 -1 1  56.3  1.633  23
3 0 0  61.1  1.518  12
3 1 1  77.9  1.227  10

---

Simulated powder diffraction line list of Na5B7C3 for Cu Kα (weighted mean of Kα1 and Kα2), from DFT lattice parameters and positions (PBE).
Peak positions follow from Bragg's law for the DFT cell and can differ from measured ones.

Structural model:
Lattice parameters (Å, degrees): 14.541 5.017 9.057 90.00 108.81 90.00
Space group C2 (No. 5)
Asymmetric unit:
Na (0.050, 0.000, 0.248) [4 per cell]
Na (0.050, 0.499, 0.751) [4 per cell]
Na (0.150, 0.499, 0.248) [4 per cell]
Na (0.151, 0.000, 0.750) [4 per cell]
Na (0.250, 0.000, 0.249) [4 per cell]
B (0.000, 0.647, 0.000) [2 per cell]
B (0.000, 0.836, 0.500) [2 per cell]
B (0.094, 0.335, 0.500) [4 per cell]
B (0.101, 0.177, 0.999) [4 per cell]
B (0.101, 0.836, 0.998) [4 per cell]
B (0.193, 0.804, 0.500) [4 per cell]
B (0.201, 0.180, 0.500) [4 per cell]
B (0.205, 0.656, 0.999) [4 per cell]
C (0.000, 0.172, 0.500) [2 per cell]
C (0.000, 0.336, 0.000) [2 per cell]
C (0.095, 0.672, 0.500) [4 per cell]
C (0.200, 0.334, 0.999) [4 per cell]

Peak list (10 most intense, 2θ from 10° to 80°, sorted by position)
index  two_theta  d/Å  I (rel.)
5 1 -1  35.7  2.516  20
5 1 1  41.6  2.170  100
0 2 2  41.7  2.165  52
0 0 4  42.2  2.143  38
5 1 3  56.4  1.632  11
5 3 -1  64.2  1.450  17
5 1 5  76.7  1.243  12
10 2 0  79.4  1.207  12
10 0 -6  79.6  1.204  9
5 3 3  79.9  1.201  17

---

Simulated powder diffraction line list of SrGd2BeO5 for Cu Kα (weighted mean of Kα1 and Kα2), from DFT lattice parameters and positions (PBE).
Peak positions follow from Bragg's law for the DFT cell and can differ from measured ones.

Structural model:
Lattice parameters (Å, degrees): 9.525 6.540 7.170 90.00 90.00 90.00
Space group Pna2_1 (No. 33)
Asymmetric unit:
Sr (0.175, 0.081, 0.000) [4 per cell]
Gd (0.020, 0.594, 0.766) [4 per cell]
Gd (0.176, 0.065, 0.547) [4 per cell]
Be (0.101, 0.807, 0.268) [4 per cell]
O (0.009, 0.021, 0.267) [4 per cell]
O (0.067, 0.693, 0.463) [4 per cell]
O (0.074, 0.681, 0.075) [4 per cell]
O (0.220, 0.343, 0.259) [4 per cell]
O (0.224, 0.368, 0.771) [4 per cell]

Peak list (10 most intense, 2θ from 10° to 80°, sorted by position)
index  two_theta  d/Å  I (rel.)
0 2 0  27.3  3.270  16
1 2 0  28.9  3.093  20
1 1 2  29.9  2.985  53
3 1 0  31.3  2.859  100
1 2 1  31.5  2.840  26
1 2 2  38.4  2.342  23
4 1 0  40.3  2.236  19
2 2 2  41.9  2.154  17
4 0 2  45.8  1.983  18
5 1 2  56.5  1.629  16

---

Please write out number 3 again, unchanged.
Simulated powder diffraction line list of Na5B7C3 for Cu Kα (weighted mean of Kα1 and Kα2), from DFT lattice parameters and positions (PBE).
Peak positions follow from Bragg's law for the DFT cell and can differ from measured ones.

Structural model:
Lattice parameters (Å, degrees): 14.541 5.017 9.057 90.00 108.81 90.00
Space group C2 (No. 5)
Asymmetric unit:
Na (0.050, 0.000, 0.248) [4 per cell]
Na (0.050, 0.499, 0.751) [4 per cell]
Na (0.150, 0.499, 0.248) [4 per cell]
Na (0.151, 0.000, 0.750) [4 per cell]
Na (0.250, 0.000, 0.249) [4 per cell]
B (0.000, 0.647, 0.000) [2 per cell]
B (0.000, 0.836, 0.500) [2 per cell]
B (0.094, 0.335, 0.500) [4 per cell]
B (0.101, 0.177, 0.999) [4 per cell]
B (0.101, 0.836, 0.998) [4 per cell]
B (0.193, 0.804, 0.500) [4 per cell]
B (0.201, 0.180, 0.500) [4 per cell]
B (0.205, 0.656, 0.999) [4 per cell]
C (0.000, 0.172, 0.500) [2 per cell]
C (0.000, 0.336, 0.000) [2 per cell]
C (0.095, 0.672, 0.500) [4 per cell]
C (0.200, 0.334, 0.999) [4 per cell]

Peak list (10 most intense, 2θ from 10° to 80°, sorted by position)
index  two_theta  d/Å  I (rel.)
5 1 -1  35.7  2.516  20
5 1 1  41.6  2.170  100
0 2 2  41.7  2.165  52
0 0 4  42.2  2.143  38
5 1 3  56.4  1.632  11
5 3 -1  64.2  1.450  17
5 1 5  76.7  1.243  12
10 2 0  79.4  1.207  12
10 0 -6  79.6  1.204  9
5 3 3  79.9  1.201  17